(1)
Structure and simulated powder XRD pattern of FeTc3O12 (a DFT-relaxed cell (GGA+U, Alexandria); Cu Kα X-rays).

Top 8 peaks for 10° ≤ 2θ ≤ 80°, in order of rising 2θ:
13.4 deg, d = 6.630 Å, I = 22; 19.2 deg, d = 4.612 Å, I = 26; 22.6 deg, d = 3.942 Å, I = 100; 28.2 deg, d = 3.169 Å, I = 33; 35.7 deg, d = 2.515 Å, I = 36; 40.8 deg, d = 2.210 Å, I = 13; 53.9 deg, d = 1.700 Å, I = 24; 64.1 deg, d = 1.453 Å, I = 11

Cell and atoms:
```
32
Lattice="4.361 2.518 9.224 -4.361 2.518 9.224 0.000 -5.035 9.224" Properties=species:S:1:pos:R:3 pbc="T T T"
Fe 0.000 0.000 0.000
Fe 0.000 0.000 13.836
Tc -1.333 -2.663 11.664
Tc -2.721 -0.031 16.276
Tc -1.640 2.487 11.664
Tc 1.387 -2.341 16.276
Tc 2.973 0.177 11.664
Tc 1.333 2.372 16.276
O -1.776 0.774 6.347
O -0.359 -3.426 10.383
O 0.218 -1.925 6.347
O -3.138 -1.438 17.278
O -2.788 2.024 10.383
O -0.324 -1.599 12.666
O -1.573 -0.494 14.995
O -1.223 1.080 12.666
O -2.337 -1.334 21.866
O -0.013 -2.345 17.254
O -2.024 1.184 17.254
O 1.558 1.151 6.347
O -0.218 -1.925 20.183
O 1.214 -1.116 14.995
O -1.558 1.151 20.183
O 1.546 0.519 12.666
O 0.359 1.609 14.995
O 2.814 -1.999 17.278
O 3.147 1.402 10.383
O 0.324 3.437 17.278
O 2.037 1.161 17.254
O 2.323 -1.357 21.866
O 0.013 2.690 21.866
O 1.776 0.774 20.183
```

***

(2)
Structure and simulated powder XRD pattern of FeTcO4 (a DFT-relaxed cell (GGA+U, Alexandria); Cu Kα X-rays).

Top 8 peaks for 10° ≤ 2θ ≤ 80°, in order of rising 2θ:
25.2 deg, d = 3.540 Å, I = 51; 30.8 deg, d = 2.904 Å, I = 100; 35.3 deg, d = 2.540 Å, I = 16; 36.4 deg, d = 2.466 Å, I = 24; 43.9 deg, d = 2.064 Å, I = 18; 54.1 deg, d = 1.694 Å, I = 20; 54.9 deg, d = 1.672 Å, I = 33; 64.1 deg, d = 1.452 Å, I = 16

Cell and atoms:
```
12
Lattice="5.079 0.000 0.000 0.000 4.546 0.000 0.000 0.000 5.643" Properties=species:S:1:pos:R:3 pbc="T T T"
Fe 0.000 0.000 0.000
Fe 0.000 2.273 2.821
Tc 2.540 0.000 1.757
Tc 2.540 2.273 4.579
O 0.901 1.014 1.579
O 0.901 1.259 4.400
O 1.736 3.367 3.062
O 1.736 3.453 0.241
O 3.344 1.094 0.241
O 3.344 1.179 3.062
O 4.179 3.287 4.400
O 4.179 3.532 1.579
```

***

(3)
Structure and simulated powder XRD pattern of V2FeTcO8 (a DFT-relaxed cell (GGA+U, Alexandria); Cu Kα X-rays).

Top 8 peaks for 10° ≤ 2θ ≤ 80°, in order of rising 2θ:
27.5 deg, d = 3.244 Å, I = 100; 35.3 deg, d = 2.542 Å, I = 65; 39.3 deg, d = 2.294 Å, I = 12; 40.6 deg, d = 2.224 Å, I = 16; 53.8 deg, d = 1.703 Å, I = 62; 56.8 deg, d = 1.622 Å, I = 18; 67.8 deg, d = 1.382 Å, I = 13; 68.6 deg, d = 1.367 Å, I = 20

Cell and atoms:
```
12
Lattice="3.241 -3.246 0.000 3.241 3.246 0.000 0.000 0.000 6.108" Properties=species:S:1:pos:R:3 pbc="T T T"
V 0.000 0.000 1.489
V 0.000 0.000 4.619
Fe 3.241 0.000 0.000
Tc 3.241 0.000 3.054
O 1.257 0.000 0.000
O 1.295 0.000 3.054
O 3.241 1.320 1.591
O 3.241 1.320 4.517
O 3.241 -1.320 1.591
O 3.241 -1.320 4.517
O 5.188 0.000 3.054
O 5.226 0.000 0.000
```

***

(4)
Structure and simulated powder XRD pattern of FeTeO (a DFT-relaxed cell (GGA+U, Alexandria); Cu Kα X-rays).

Top 8 peaks for 10° ≤ 2θ ≤ 80°, in order of rising 2θ:
12.1 deg, d = 7.327 Å, I = 24; 24.3 deg, d = 3.664 Å, I = 100; 30.5 deg, d = 2.932 Å, I = 76; 32.9 deg, d = 2.722 Å, I = 30; 39.4 deg, d = 2.289 Å, I = 76; 43.7 deg, d = 2.073 Å, I = 40; 50.6 deg, d = 1.805 Å, I = 50; 59.5 deg, d = 1.554 Å, I = 22

Cell and atoms:
```
3
Lattice="7.327 0.000 0.000 0.000 2.074 2.073 0.000 -2.074 2.073" Properties=species:S:1:pos:R:3 pbc="T T T"
Fe 0.000 0.000 0.000
Te 3.664 0.000 4.136
O 0.000 0.000 2.072
```

***

(5)
Structure and simulated powder XRD pattern of Fe2Te3O10 (a DFT-relaxed cell (GGA+U, Alexandria); Cu Kα X-rays).

Top 8 peaks for 10° ≤ 2θ ≤ 80°, in order of rising 2θ:
15.6 deg, d = 5.682 Å, I = 91; 23.9 deg, d = 3.723 Å, I = 25; 24.1 deg, d = 3.699 Å, I = 36; 24.6 deg, d = 3.624 Å, I = 34; 25.5 deg, d = 3.494 Å, I = 25; 27.8 deg, d = 3.211 Å, I = 100; 28.9 deg, d = 3.091 Å, I = 32; 30.8 deg, d = 2.902 Å, I = 28

Cell and atoms:
```
30
Lattice="7.560 0.000 0.000 0.976 8.024 0.000 1.199 1.550 7.934" Properties=species:S:1:pos:R:3 pbc="T T T"
Fe 0.454 0.580 1.514
Fe 4.321 4.328 2.472
Fe 5.414 5.246 5.462
Fe 9.282 8.994 6.420
Te 2.587 3.529 5.221
Te 3.556 7.527 4.165
Te 4.504 7.794 7.909
Te 5.232 1.780 0.026
Te 6.180 2.047 3.769
Te 7.148 6.045 2.714
O 1.885 7.574 5.028
O 1.402 6.668 0.019
O 2.601 7.358 2.347
O 2.418 1.676 5.792
O 2.087 0.984 0.898
O 3.105 4.683 1.012
O 3.315 3.000 3.557
O 3.711 5.585 4.059
O 4.421 6.871 6.196
O 4.223 3.793 6.140
O 5.513 5.781 1.794
O 5.314 2.703 1.738
O 6.025 3.989 3.876
O 6.420 6.574 4.377
O 6.630 4.891 6.923
O 7.648 8.590 7.036
O 7.318 7.898 2.142
O 7.135 2.216 5.588
O 8.334 2.906 7.916
O 7.850 2.000 2.906
```

***

(6)
Structure and simulated powder XRD pattern of TlFeTeO4 (a DFT-relaxed cell (GGA+U, Alexandria); Cu Kα X-rays).

Top 8 peaks for 10° ≤ 2θ ≤ 80°, in order of rising 2θ:
21.6 deg, d = 4.105 Å, I = 26; 22.3 deg, d = 3.990 Å, I = 41; 26.1 deg, d = 3.411 Å, I = 100; 28.6 deg, d = 3.122 Å, I = 43; 29.1 deg, d = 3.065 Å, I = 52; 30.5 deg, d = 2.929 Å, I = 52; 41.3 deg, d = 2.187 Å, I = 32; 46.3 deg, d = 1.959 Å, I = 25

Cell and atoms:
```
14
Lattice="6.396 0.000 0.000 0.000 6.130 0.000 -1.698 0.000 6.775" Properties=species:S:1:pos:R:3 pbc="T T T"
Tl 0.046 1.533 1.009
Tl 4.652 4.598 5.765
Fe 0.926 4.598 3.520
Fe 3.771 1.533 3.255
Te 1.333 1.533 4.985
Te 3.365 4.598 1.790
O 0.234 3.142 4.557
O 0.234 6.053 4.557
O 1.275 4.598 1.649
O 1.834 1.533 3.096
O 2.864 4.598 3.679
O 3.423 1.533 5.125
O 4.464 0.077 2.217
O 4.464 2.988 2.217
```

***

(7)
Structure and simulated powder XRD pattern of Ti3FeO7 (a DFT-relaxed cell (GGA+U, Alexandria); Cu Kα X-rays).

Top 8 peaks for 10° ≤ 2θ ≤ 80°, in order of rising 2θ:
32.3 deg, d = 2.768 Å, I = 52; 32.8 deg, d = 2.731 Å, I = 96; 34.3 deg, d = 2.618 Å, I = 46; 38.0 deg, d = 2.367 Å, I = 54; 47.8 deg, d = 1.902 Å, I = 100; 56.9 deg, d = 1.619 Å, I = 61; 58.0 deg, d = 1.591 Å, I = 39; 64.7 deg, d = 1.440 Å, I = 20

Cell and atoms:
```
11
Lattice="-1.440 5.537 3.139 1.440 -5.537 3.139 1.440 5.537 -3.139" Properties=species:S:1:pos:R:3 pbc="T T T"
Ti 0.000 0.000 0.000
Ti 0.000 2.792 1.306
Ti 0.000 8.281 1.306
Fe 1.440 0.000 2.982
O 1.440 -1.184 1.201
O 1.440 -3.520 2.522
O 1.440 1.184 1.201
O 1.440 3.797 0.182
O 0.000 1.740 3.321
O 1.440 3.520 2.522
O 0.000 5.537 1.892
```

***

(8)
Structure and simulated powder XRD pattern of Ti2Fe4O9 (a DFT-relaxed cell (GGA+U, Alexandria); Cu Kα X-rays).

Top 8 peaks for 10° ≤ 2θ ≤ 80°, in order of rising 2θ:
23.7 deg, d = 3.753 Å, I = 32; 32.4 deg, d = 2.766 Å, I = 51; 32.5 deg, d = 2.756 Å, I = 100; 34.7 deg, d = 2.588 Å, I = 38; 34.8 deg, d = 2.574 Å, I = 37; 35.0 deg, d = 2.563 Å, I = 35; 53.0 deg, d = 1.729 Å, I = 51; 61.0 deg, d = 1.518 Å, I = 25

Cell and atoms:
```
30
Lattice="5.536 0.000 0.000 -0.752 7.579 0.000 -2.377 -3.744 7.689" Properties=species:S:1:pos:R:3 pbc="T T T"
Ti 0.000 0.000 0.000
Ti -2.708 0.172 7.673
Ti -0.431 3.817 5.050
Ti 2.763 0.001 2.620
Fe -0.709 2.265 2.526
Fe -1.050 6.071 2.571
Fe -0.016 0.088 5.111
Fe -0.263 -1.525 7.685
Fe 1.762 5.972 0.008
Fe 2.365 3.872 2.556
Fe 2.034 2.299 5.101
Fe 2.450 -1.536 5.132
O -0.865 0.481 3.383
O 0.127 1.737 0.745
O -1.547 -0.698 6.121
O -1.204 4.267 6.792
O 1.357 -0.692 1.561
O 0.511 -1.961 4.430
O 1.498 4.009 0.735
O 0.706 3.110 3.578
O 0.088 1.924 5.833
O 1.905 0.346 4.246
O 1.290 -0.671 6.708
O 2.905 1.733 1.778
O 1.574 4.262 6.032
O 2.531 5.791 3.366
O 3.386 6.890 0.998
O 4.388 4.100 1.635
O 3.638 3.145 4.137
O 2.823 1.887 7.016
```

***

(9)
Structure and simulated powder XRD pattern of Ti6FeO16 (a DFT-relaxed cell (GGA+U, Alexandria); Cu Kα X-rays).

Top 8 peaks for 10° ≤ 2θ ≤ 80°, in order of rising 2θ:
21.4 deg, d = 4.156 Å, I = 88; 21.6 deg, d = 4.108 Å, I = 68; 21.8 deg, d = 4.070 Å, I = 91; 22.0 deg, d = 4.036 Å, I = 100; 30.6 deg, d = 2.922 Å, I = 89; 31.5 deg, d = 2.838 Å, I = 72; 32.6 deg, d = 2.749 Å, I = 61; 32.8 deg, d = 2.731 Å, I = 64

Cell and atoms:
```
23
Lattice="4.829 0.000 0.000 0.160 7.600 0.000 0.195 0.529 7.855" Properties=species:S:1:pos:R:3 pbc="T T T"
Ti 0.000 0.000 0.000
Ti 0.233 3.481 6.776
Ti 0.293 1.920 2.820
Ti 0.477 4.762 1.521
Ti 2.578 1.484 5.316
Ti 2.880 6.892 2.567
Fe 2.697 5.972 6.706
O 0.757 1.926 0.680
O 1.134 3.634 2.737
O 1.392 4.893 7.561
O 1.408 6.475 1.452
O 1.543 2.878 5.565
O 1.814 7.799 6.582
O 1.602 0.829 3.559
O 2.454 6.115 4.569
O 3.563 6.912 4.582
O 3.773 5.315 2.381
O 3.856 4.538 6.114
O 3.902 2.070 4.109
O 4.030 1.689 6.726
O 4.159 6.696 7.729
O 3.949 0.454 1.875
O 4.393 2.831 0.924
```

***

(10)
Structure and simulated powder XRD pattern of Ti2Fe4O9 (a DFT-relaxed cell (GGA+U, Alexandria); Cu Kα X-rays).

Top 8 peaks for 10° ≤ 2θ ≤ 80°, in order of rising 2θ:
23.9 deg, d = 3.721 Å, I = 34; 32.7 deg, d = 2.742 Å, I = 100; 32.9 deg, d = 2.720 Å, I = 46; 34.9 deg, d = 2.572 Å, I = 75; 35.2 deg, d = 2.551 Å, I = 36; 49.0 deg, d = 1.860 Å, I = 37; 61.5 deg, d = 1.507 Å, I = 30; 62.9 deg, d = 1.477 Å, I = 31

Cell and atoms:
```
30
Lattice="4.882 -2.550 0.000 4.882 2.550 0.000 -0.595 0.000 12.700" Properties=species:S:1:pos:R:3 pbc="T T T"
Ti 4.585 2.540 6.350
Ti 6.027 0.069 10.399
Ti 6.325 -0.069 4.049
Ti 4.882 -2.540 0.000
Fe -0.043 0.064 9.239
Fe 0.254 -0.064 2.889
Fe 2.757 0.038 8.352
Fe 3.055 -0.038 2.002
Fe 3.252 0.038 11.314
Fe 3.549 -0.038 4.964
Fe 6.676 0.024 7.054
Fe 6.973 -0.024 0.704
O 1.076 0.676 7.400
O 1.969 0.940 10.041
O 3.643 1.659 7.854
O 3.535 0.986 0.353
O 4.643 1.547 11.067
O 1.373 -0.676 1.050
O 4.482 0.588 3.204
O 5.290 0.910 5.709
O 2.267 -0.940 3.691
O 6.443 1.056 8.891
O 3.237 -0.986 6.703
O 4.185 -0.588 9.554
O 7.313 0.773 11.570
O 3.940 -1.659 1.504
O 4.993 -0.910 12.059
O 4.941 -1.547 4.718
O 6.740 -1.056 2.541
O 7.611 -0.773 5.220
```

***

(11)
Structure and simulated powder XRD pattern of TlFeO2 (a DFT-relaxed cell (GGA+U, Alexandria); Cu Kα X-rays).

Top 8 peaks for 10° ≤ 2θ ≤ 80°, in order of rising 2θ:
17.1 deg, d = 5.189 Å, I = 68; 30.0 deg, d = 2.976 Å, I = 100; 32.5 deg, d = 2.753 Å, I = 45; 33.4 deg, d = 2.684 Å, I = 71; 35.4 deg, d = 2.537 Å, I = 99; 38.9 deg, d = 2.317 Å, I = 43; 53.0 deg, d = 1.729 Å, I = 29; 54.2 deg, d = 1.693 Å, I = 27

Cell and atoms:
```
16
Lattice="3.354 -7.764 0.000 3.354 7.764 0.000 -3.225 0.000 4.634" Properties=species:S:1:pos:R:3 pbc="T T T"
Tl 0.935 6.878 3.475
Tl 2.547 4.841 1.158
Tl 0.935 -4.841 3.475
Tl 2.547 -6.878 1.158
Fe 0.935 3.019 3.475
Fe 2.547 1.660 1.158
Fe 0.935 -1.660 3.475
Fe 2.547 -3.019 1.158
O 0.942 3.187 1.341
O -0.698 1.528 3.835
O 0.915 -1.528 1.518
O -0.670 -3.187 3.658
O 4.152 3.187 0.975
O 2.568 1.528 3.116
O 4.180 -1.528 0.799
O 2.540 -3.187 3.292
```